# 1
Diffraction record for Ce2P2PbN6. The X-ray diffraction stick pattern is simulated, not measured: it uses a cell relaxed with GGA-PBE and Cu Kα (weighted mean of Kα1 and Kα2).

Cell and atoms:
```
data_Ce2P2PbN6
_cell_length_a 6.284
_cell_length_b 6.324
_cell_length_c 6.509
_cell_angle_alpha 61.92
_cell_angle_beta 61.96
_cell_angle_gamma 65.18
_symmetry_space_group_name_H-M 'P -1'
_symmetry_Int_Tables_number 2
loop_
_symmetry_equiv_pos_as_xyz
'x,y,z'
'-x,-y,-z'
loop_
_atom_site_label
_atom_site_type_symbol
_atom_site_fract_x
_atom_site_fract_y
_atom_site_fract_z
Ce1 Ce 0.192 0.192 0.179
P1 P 0.171 0.174 0.729
Pb1 Pb 0.500 0.500 0.500
N1 N 0.022 0.407 0.822
N2 N 0.069 0.073 0.623
N3 N 0.406 0.025 0.822
```

Largest 10 diffraction maxima, by angle, 2θ from 10° to 80°:
| two_theta | d (Å) | I (rel.) |
| --- | --- | --- |
| 17.5 | 5.072 | 97 |
| 26.2 | 3.396 | 67 |
| 27.1 | 3.291 | 62 |
| 31.6 | 2.831 | 100 |
| 31.8 | 2.813 | 23 |
| 33.1 | 2.702 | 35 |
| 33.3 | 2.690 | 34 |
| 35.4 | 2.536 | 14 |
| 49.8 | 1.831 | 25 |
| 50.7 | 1.799 | 19 |

# 2
Diffraction record for Ce3P2Rh2N3. The X-ray diffraction stick pattern is simulated, not measured: it uses a cell relaxed with GGA-PBE and Cu Kα (weighted mean of Kα1 and Kα2).

Cell and atoms:
```
data_Ce3P2Rh2N3
_cell_length_a 3.820
_cell_length_b 3.820
_cell_length_c 21.426
_cell_angle_alpha 90.00
_cell_angle_beta 90.00
_cell_angle_gamma 90.00
_symmetry_space_group_name_H-M 'I 4/m m m'
_symmetry_Int_Tables_number 139
_symmetry_space_group_name_Hall '-I 4 2'
loop_
_atom_site_label
_atom_site_type_symbol
_atom_site_fract_x
_atom_site_fract_y
_atom_site_fract_z
Ce1 Ce 0.000 0.000 0.000
Ce2 Ce 0.000 0.000 0.385
P1 P 0.000 0.000 0.187
Rh1 Rh 0.000 0.500 0.250
N1 N 0.000 0.000 0.109
N2 N 0.000 0.000 0.500
```

Largest 10 diffraction maxima, by angle, 2θ from 10° to 80°:
| two_theta | d (Å) | I (rel.) |
| --- | --- | --- |
| 26.5 | 3.368 | 42 |
| 31.4 | 2.851 | 100 |
| 33.2 | 2.701 | 26 |
| 33.5 | 2.678 | 42 |
| 34.2 | 2.619 | 64 |
| 37.3 | 2.412 | 49 |
| 47.6 | 1.910 | 51 |
| 54.7 | 1.679 | 43 |
| 58.1 | 1.587 | 35 |
| 59.4 | 1.555 | 32 |

# 3
Diffraction record for CePRuN. The X-ray diffraction stick pattern is simulated, not measured: it uses a cell relaxed with GGA-PBE and Cu Kα (weighted mean of Kα1 and Kα2).

Cell and atoms:
```
data_CePRuN
_cell_length_a 4.029
_cell_length_b 4.029
_cell_length_c 8.143
_cell_angle_alpha 90.00
_cell_angle_beta 90.00
_cell_angle_gamma 90.00
_symmetry_space_group_name_H-M 'P 4/n m m'
_symmetry_Int_Tables_number 129
loop_
_symmetry_equiv_pos_as_xyz
'x,y,z'
'-x,-y,-z'
'-y+1/2,x,z'
'y+1/2,-x,-z'
'-x+1/2,-y+1/2,z'
'x+1/2,y+1/2,-z'
'y,-x+1/2,z'
'-y,x+1/2,-z'
'x+1/2,-y,-z'
'-x+1/2,y,z'
'-y,-x,-z'
'y,x,z'
'-x,y+1/2,-z'
'x,-y+1/2,z'
'y+1/2,x+1/2,-z'
'-y+1/2,-x+1/2,z'
loop_
_atom_site_label
_atom_site_type_symbol
_atom_site_fract_x
_atom_site_fract_y
_atom_site_fract_z
Ce1 Ce 0.250 0.250 0.134
P1 P 0.250 0.250 0.643
Ru1 Ru 0.250 0.750 0.500
N1 N 0.250 0.750 0.000
```

Largest 10 diffraction maxima, by angle, 2θ from 10° to 80°:
| two_theta | d (Å) | I (rel.) |
| --- | --- | --- |
| 21.8 | 4.072 | 20 |
| 24.7 | 3.611 | 40 |
| 31.2 | 2.864 | 100 |
| 33.0 | 2.714 | 24 |
| 33.3 | 2.689 | 78 |
| 38.6 | 2.334 | 38 |
| 45.0 | 2.015 | 51 |
| 55.5 | 1.656 | 52 |
| 55.8 | 1.648 | 38 |
| 56.9 | 1.618 | 21 |

# 4
Diffraction record for CePRu2N. The X-ray diffraction stick pattern is simulated, not measured: it uses a cell relaxed with GGA-PBE and Cu Kα (weighted mean of Kα1 and Kα2).

Cell and atoms:
```
data_CePRu2N
_cell_length_a 3.693
_cell_length_b 11.468
_cell_length_c 7.013
_cell_angle_alpha 90.00
_cell_angle_beta 90.00
_cell_angle_gamma 90.00
_symmetry_space_group_name_H-M 'C m c m'
_symmetry_Int_Tables_number 63
_symmetry_space_group_name_Hall '-C 2c 2'
loop_
_atom_site_label
_atom_site_type_symbol
_atom_site_fract_x
_atom_site_fract_y
_atom_site_fract_z
Ce1 Ce 0.000 0.042 0.250
P1 P 0.000 0.229 0.750
Ru1 Ru 0.000 0.332 0.051
N1 N 0.000 0.500 0.000
```

Largest 10 diffraction maxima, by angle, 2θ from 10° to 80°:
| two_theta | d (Å) | I (rel.) |
| --- | --- | --- |
| 29.9 | 2.992 | 31 |
| 33.8 | 2.655 | 100 |
| 36.2 | 2.483 | 100 |
| 40.6 | 2.220 | 13 |
| 41.7 | 2.165 | 20 |
| 46.7 | 1.947 | 15 |
| 49.4 | 1.846 | 26 |
| 58.8 | 1.571 | 13 |
| 62.0 | 1.497 | 23 |
| 63.5 | 1.464 | 17 |

- Number 3 is which compound?
  CePRuN